Computed X-ray powder pattern of Dy5GeP4 for Cu Kα X-rays, from DFT lattice parameters and positions (GGA-PBE).
Neutral-atom scattering factors, no anomalous dispersion.

The 10 most intense peaks (10° ≤ 2θ ≤ 90°), most intense first:
d = 2.850 Å, I = 100
d = 2.015 Å, I = 73
d = 3.291 Å, I = 70
d = 1.719 Å, I = 33
d = 1.274 Å, I = 32
d = 1.645 Å, I = 25
d = 1.163 Å, I = 24
d = 1.308 Å, I = 13
d = 1.425 Å, I = 12
d = 1.097 Å, I = 11

Structure:
```
data_Dy5GeP4
_chemical_formula_sum 'Dy5 Ge1 P4'
_cell_length_a 6.981
_cell_length_b 6.981
_cell_length_c 6.981
_cell_angle_alpha 99.58
_cell_angle_beta 99.58
_cell_angle_gamma 131.84
_symmetry_space_group_name_H-M 'P 1'
_symmetry_Int_Tables_number 1
loop_
_symmetry_equiv_pos_as_xyz
'x,y,z'
loop_
_atom_site_label
_atom_site_fract_x
_atom_site_fract_y
_atom_site_fract_z
Dy1 0.000 0.000 0.000
Dy2 0.193 0.604 0.796
Dy3 0.396 0.193 0.589
Dy4 0.604 0.807 0.411
Dy5 0.807 0.396 0.204
Ge1 0.500 0.500 0.000
P1 0.101 0.300 0.401
P2 0.300 0.899 0.200
P3 0.700 0.101 0.800
P4 0.899 0.700 0.599
```

Computed X-ray powder pattern of Rb2SbCI6 for Cu Kα X-rays, from DFT lattice parameters and positions (GGA-PBE).
Neutral-atom scattering factors, no anomalous dispersion.

The 10 most intense peaks (10° ≤ 2θ ≤ 90°), most intense first:
d = 3.324 Å, I = 100
d = 2.883 Å, I = 61
d = 2.034 Å, I = 42
d = 2.870 Å, I = 30
d = 1.738 Å, I = 28
d = 5.758 Å, I = 22
d = 1.662 Å, I = 22
d = 2.039 Å, I = 21
d = 1.289 Å, I = 17
d = 1.732 Å, I = 14

Structure:
```
data_Rb2SbCI6
_chemical_formula_sum 'Rb2 Sb1 C1 I6'
_cell_length_a 8.137
_cell_length_b 8.137
_cell_length_c 8.137
_cell_angle_alpha 119.85
_cell_angle_beta 119.85
_cell_angle_gamma 90.27
_symmetry_space_group_name_H-M 'P 1'
_symmetry_Int_Tables_number 1
loop_
_symmetry_equiv_pos_as_xyz
'x,y,z'
loop_
_atom_site_label
_atom_site_fract_x
_atom_site_fract_y
_atom_site_fract_z
Rb1 0.250 0.750 0.500
Rb2 0.750 0.250 0.500
Sb1 0.000 0.000 0.000
C1 0.500 0.500 0.000
I1 0.264 0.264 0.529
I2 0.264 0.736 0.000
I3 0.265 0.265 0.000
I4 0.735 0.735 0.000
I5 0.736 0.264 0.000
I6 0.736 0.736 0.471
```

Computed X-ray powder pattern of ZrTl3Cl6 for Cu Kα X-rays, from DFT lattice parameters and positions (GGA-PBE).
Neutral-atom scattering factors, no anomalous dispersion.

The 10 most intense peaks (10° ≤ 2θ ≤ 90°), most intense first:
d = 3.691 Å, I = 100
d = 4.423 Å, I = 97
d = 2.466 Å, I = 64
d = 2.247 Å, I = 50
d = 3.438 Å, I = 34
d = 2.833 Å, I = 34
d = 3.538 Å, I = 29
d = 1.943 Å, I = 25
d = 2.071 Å, I = 19
d = 1.672 Å, I = 19

Structure:
```
data_ZrTl3Cl6
_chemical_formula_sum 'Zr1 Tl3 Cl6'
_cell_length_a 9.066
_cell_length_b 8.294
_cell_length_c 7.129
_cell_angle_alpha 71.55
_cell_angle_beta 60.21
_cell_angle_gamma 48.24
_symmetry_space_group_name_H-M 'P 1'
_symmetry_Int_Tables_number 1
loop_
_symmetry_equiv_pos_as_xyz
'x,y,z'
loop_
_atom_site_label
_atom_site_fract_x
_atom_site_fract_y
_atom_site_fract_z
Zr1 0.000 0.000 0.000
Tl1 0.250 0.250 0.250
Tl2 0.500 0.500 0.500
Tl3 0.750 0.750 0.750
Cl1 0.074 0.669 0.926
Cl2 0.219 0.781 0.219
Cl3 0.331 0.926 0.669
Cl4 0.669 0.074 0.331
Cl5 0.781 0.219 0.781
Cl6 0.926 0.331 0.074
```

Computed X-ray powder pattern of Pm2DyHo4Er2 for Cu Kα X-rays, from DFT lattice parameters and positions (GGA-PBE).
Neutral-atom scattering factors, no anomalous dispersion.

The 10 most intense peaks (10° ≤ 2θ ≤ 90°), most intense first:
d = 2.800 Å, I = 100
d = 2.836 Å, I = 59
d = 2.750 Å, I = 49
d = 2.757 Å, I = 46
d = 2.989 Å, I = 42
d = 1.640 Å, I = 20
d = 1.568 Å, I = 18
d = 1.612 Å, I = 18
d = 1.881 Å, I = 17
d = 2.096 Å, I = 15

Structure:
```
data_Pm2DyHo4Er2
_chemical_formula_sum 'Pm2 Dy1 Ho4 Er2'
_cell_length_a 5.981
_cell_length_b 6.595
_cell_length_c 8.534
_cell_angle_alpha 79.90
_cell_angle_beta 70.38
_cell_angle_gamma 65.02
_symmetry_space_group_name_H-M 'P 1'
_symmetry_Int_Tables_number 1
loop_
_symmetry_equiv_pos_as_xyz
'x,y,z'
loop_
_atom_site_label
_atom_site_fract_x
_atom_site_fract_y
_atom_site_fract_z
Pm1 0.230 0.326 0.342
Pm2 0.770 0.674 0.658
Dy1 0.500 0.000 0.000
Ho1 0.118 0.127 0.761
Ho2 0.240 0.576 0.886
Ho3 0.760 0.424 0.114
Ho4 0.882 0.873 0.239
Er1 0.322 0.770 0.444
Er2 0.678 0.230 0.556
```